# CsPdBr3
Calculated XRD peak list, a wavelength of 1.5418 Å. Input: a crystal structure in the Materials Project, relaxed with GGA-PBE.

Largest 10 diffraction maxima, in order of rising 2θ, 10° ≤ 2θ ≤ 80°:
two_theta	I (rel.)
23.6	52
29.0	61
33.6	100
41.5	23
48.2	71
57.3	26
60.1	24
65.5	12
70.6	11
78.1	11

Lattice parameters (Å, degrees): 5.335 5.335 5.335 90.00 90.00 90.00
Space group Pm-3m (No. 221)
Unique sites:
Cs1 0.000 0.000 0.000
Pd1 0.500 0.500 0.500
Br1 0.000 0.500 0.500